Calculated X-ray powder pattern of KSmGe2Cl8 for Cu Kα (weighted mean of Kα1 and Kα2), from the PBE geometry in Alexandria.
Peak positions follow from Bragg's law for the DFT cell and can differ from measured ones.

Peak list (10 most intense, 10° ≤ 2θ ≤ 90°, sorted by position)
| d (Å) | I (rel.) |
| --- | --- |
| 5.592 | 49.4 |
| 5.227 | 42.5 |
| 4.829 | 100.0 |
| 4.510 | 96.2 |
| 4.173 | 45.0 |
| 3.696 | 46.8 |
| 3.646 | 50.0 |
| 2.515 | 31.8 |
| 2.415 | 38.9 |
| 2.393 | 32.9 |

Crystal structure
Unit cell a=6.374 b=6.879 c=9.006 alpha=86.97 beta=88.98 gamma=86.03
Sites, in units of the cell vectors:
K: 0.000 0.000 0.000
Sm: 0.000 0.000 0.500
Ge: 0.461 0.457 0.259
Ge: 0.539 0.543 0.741
Cl: 0.215 0.809 0.286
Cl: 0.245 0.317 0.461
Cl: 0.265 0.859 0.721
Cl: 0.277 0.357 0.063
Cl: 0.723 0.643 0.937
Cl: 0.735 0.141 0.279
Cl: 0.755 0.683 0.539
Cl: 0.785 0.191 0.714

=====

Calculated X-ray powder pattern of KSnGeCl5 for Cu Kα (weighted mean of Kα1 and Kα2), from the PBE geometry in Alexandria.
Peak positions follow from Bragg's law for the DFT cell and can differ from measured ones.

Peak list (10 most intense, 10° ≤ 2θ ≤ 90°, sorted by position)
| d (Å) | I (rel.) |
| --- | --- |
| 6.800 | 85.6 |
| 4.968 | 100.0 |
| 4.277 | 68.2 |
| 3.595 | 44.9 |
| 3.423 | 59.5 |
| 3.015 | 39.8 |
| 2.768 | 76.5 |
| 2.344 | 36.9 |
| 2.323 | 35.6 |
| 2.308 | 33.9 |

Crystal structure
Unit cell a=7.548 b=7.548 c=10.273 alpha=105.89 beta=105.89 gamma=95.86
Sites, in units of the cell vectors:
K: 0.073 0.927 0.750
K: 0.927 0.073 0.250
Sn: 0.000 0.500 0.000
Sn: 0.500 0.000 0.500
Ge: 0.481 0.519 0.750
Ge: 0.519 0.481 0.250
Cl: 0.201 0.229 0.084
Cl: 0.211 0.789 0.250
Cl: 0.229 0.201 0.584
Cl: 0.301 0.638 0.903
Cl: 0.362 0.699 0.597
Cl: 0.638 0.301 0.403
Cl: 0.699 0.362 0.097
Cl: 0.771 0.799 0.416
Cl: 0.789 0.211 0.750
Cl: 0.799 0.771 0.916